Structure and calculated X-ray powder pattern of Na8FeO6 (the GGA+U geometry in Alexandria; λ = 1.5418 Å (Cu Kα)).
Neutral-atom scattering factors, no anomalous dispersion.

The 10 most intense peaks (15° ≤ 2θ ≤ 90°), low angle first:
| 2theta | I_rel |
| --- | --- |
| 16.1 | 498 |
| 21.2 | 814 |
| 29.0 | 981 |
| 31.4 | 385 |
| 32.2 | 464 |
| 35.2 | 381 |
| 35.5 | 642 |
| 39.9 | 340 |
| 45.3 | 754 |
| 49.8 | 1000 |

Cell and atoms:
Lattice parameters (Å, degrees): 6.3450 6.3450 12.8885 90.04 90.04 60.10
Element x y z (fractional)
1 Na 0.0002 0.9998 0.0000
2 Na 0.9998 0.0002 0.5000
3 Na 0.0535 0.6672 0.7081
4 Na 0.0552 0.2780 0.2080
5 Na 0.2780 0.0552 0.7080
6 Na 0.2798 0.6659 0.2080
7 Na 0.3331 0.3336 0.5000
8 Na 0.3336 0.3331 0.0000
9 Na 0.3748 0.6678 0.8579
10 Na 0.3765 0.9570 0.3581
11 Na 0.6659 0.2798 0.7080
12 Na 0.6657 0.9586 0.8578
13 Na 0.6672 0.0535 0.2081
14 Na 0.6678 0.3748 0.3579
15 Na 0.9570 0.3765 0.8581
16 Na 0.9586 0.6657 0.3578
17 Fe 0.6660 0.6673 0.5831
18 Fe 0.6673 0.6660 0.0831
19 O 0.0008 0.9992 0.3075
20 O 0.3326 0.3342 0.8075
21 O 0.3342 0.3326 0.3075
22 O 0.3864 0.6672 0.0375
23 O 0.3861 0.9475 0.5378
24 O 0.6656 0.6676 0.7348
25 O 0.6664 0.9466 0.0375
26 O 0.6672 0.3864 0.5375
27 O 0.6676 0.6656 0.2348
28 O 0.9466 0.6664 0.5375
29 O 0.9475 0.3861 0.0378
30 O 0.9992 0.0008 0.8075